The following is a simulated X-ray powder pattern of Sr2LiV2Si4O14. It was derived from a crystal structure in Alexandria, relaxed with GGA+U, using Cu Kα (weighted mean of Kα1 and Kα2).
Lines closer than 0.1° are merged.

Atomic structure:
```
23
Lattice="7.2542 0.0000 0.0000 0.0000 2.7249 7.8113 0.0000 -2.7249 7.8113" Properties=species:S:1:pos:R:3 pbc="T T T"
Sr 0.0000 0.0000 0.0000
Sr 3.6271 0.0000 5.5032
Li 3.6271 0.0000 8.3066
V 0.0000 0.0000 4.9386
V 3.6271 0.0000 1.5284
Si 1.5564 0.0000 9.4533
Si 1.9602 0.0000 12.6483
Si 5.2940 0.0000 12.6483
Si 5.6978 0.0000 9.4533
O 0.0000 0.0000 3.3069
O 0.0000 0.0000 8.9240
O 1.3846 -1.3753 5.5597
O 1.3846 1.3753 5.5597
O 1.6475 0.0000 11.0643
O 2.2212 -1.3131 8.7549
O 2.2212 1.3131 8.7549
O 3.6271 0.0000 3.3124
O 3.6271 0.0000 12.9445
O 5.0330 -1.3131 8.7549
O 5.0330 1.3131 8.7549
O 5.6067 0.0000 11.0643
O 5.8696 -1.3753 5.5597
O 5.8696 1.3753 5.5597
```

Largest 10 diffraction maxima, sorted by position, 2θ from 15° to 90°:
| 2theta | d (Å) | intensity |
| --- | --- | --- |
| 22.77 | 3.906 | 64 |
| 23.63 | 3.765 | 25 |
| 25.91 | 3.439 | 26 |
| 26.68 | 3.342 | 42 |
| 30.14 | 2.965 | 100 |
| 32.87 | 2.725 | 32 |
| 34.33 | 2.612 | 24 |
| 41.45 | 2.179 | 23 |
| 42.32 | 2.136 | 21 |
| 45.67 | 1.986 | 24 |

***

The following is a simulated X-ray powder pattern of Sr2LiV2Si4O14. It was derived from a crystal structure in Alexandria, relaxed with GGA+U, using Cu Kα (weighted mean of Kα1 and Kα2).
Lines closer than 0.1° are merged.

Atomic structure:
```
23
Lattice="5.5075 0.0000 0.0000 0.0000 7.2118 0.0000 -2.4970 0.0000 7.3409" Properties=species:S:1:pos:R:3 pbc="T T T"
Sr 0.0000 0.0000 0.0000
Sr -0.0777 3.6059 5.5814
Li 3.7259 3.6059 2.7422
V 0.1432 3.6059 1.1827
V -0.1262 0.0000 4.4270
Si 2.7922 1.6216 1.2002
Si 2.7922 5.5903 1.2002
Si 2.6143 1.9572 4.4460
Si 2.6143 5.2547 4.4460
O -1.5280 1.3288 5.0717
O -1.5280 5.8830 5.0717
O -0.0951 0.0000 2.7839
O -0.0004 3.6059 3.0121
O 1.4701 2.1993 0.4744
O 1.4701 5.0125 0.4744
O 1.2345 1.3670 5.0451
O 1.2345 5.8449 5.0451
O 2.7783 0.0000 0.8917
O 2.7032 1.9280 2.8158
O 2.7032 5.2838 2.8158
O 2.7018 3.6059 4.8365
O 4.2010 2.1990 0.6734
O 4.2010 5.0129 0.6734
```

Largest 10 diffraction maxima, sorted by position, 2θ from 15° to 90°:
| 2theta | d (Å) | intensity |
| --- | --- | --- |
| 24.25 | 3.670 | 61 |
| 26.95 | 3.308 | 47 |
| 27.26 | 3.271 | 40 |
| 27.72 | 3.218 | 48 |
| 30.13 | 2.966 | 100 |
| 30.37 | 2.943 | 47 |
| 32.54 | 2.752 | 48 |
| 36.68 | 2.450 | 30 |
| 41.28 | 2.187 | 35 |
| 45.08 | 2.011 | 29 |

***

The following is a simulated X-ray powder pattern of Sr2LiV2Si4O14. It was derived from a crystal structure in Alexandria, relaxed with GGA+U, using Cu Kα (weighted mean of Kα1 and Kα2).
Lines closer than 0.1° are merged.

Atomic structure:
```
23
Lattice="5.4596 0.0000 0.0000 0.1018 7.1952 0.0000 2.6570 0.2578 7.3875" Properties=species:S:1:pos:R:3 pbc="T T T"
Sr 0.0000 0.0000 0.0000
Sr 2.6706 3.7834 1.5555
Li 3.3103 1.9902 4.5017
V 2.6821 3.9263 6.2611
V 2.6203 7.2791 2.9705
Si 5.4512 5.8693 6.0977
Si 5.4504 1.9196 6.1896
Si 5.3631 2.1826 2.9497
Si 5.4015 5.3971 2.9000
O 1.1618 1.4651 2.2531
O 1.3022 5.9186 2.2016
O 2.6095 0.3226 4.7891
O 2.6681 3.8196 4.6067
O 4.0469 2.5332 6.7763
O 4.0908 5.2600 6.7850
O 3.8622 1.7087 2.5841
O 5.3834 0.2902 6.5439
O 4.0444 6.0011 2.2539
O 5.4237 2.1616 4.5905
O 5.4495 5.6099 4.5105
O 6.7818 5.2477 6.8220
O 6.7837 2.5351 6.8914
O 5.4145 3.7785 2.4786
```

Largest 10 diffraction maxima, sorted by position, 2θ from 15° to 90°:
| 2theta | d (Å) | intensity |
| --- | --- | --- |
| 24.09 | 3.694 | 62 |
| 27.07 | 3.294 | 68 |
| 27.47 | 3.247 | 67 |
| 27.87 | 3.201 | 45 |
| 30.03 | 2.975 | 44 |
| 30.34 | 2.946 | 100 |
| 30.79 | 2.904 | 32 |
| 32.81 | 2.729 | 67 |
| 34.40 | 2.607 | 37 |
| 50.79 | 1.798 | 31 |

***

The following is a simulated X-ray powder pattern of Sr2LiV2Si4O14. It was derived from a crystal structure in Alexandria, relaxed with GGA+U, using Cu Kα (weighted mean of Kα1 and Kα2).
Lines closer than 0.1° are merged.

Atomic structure:
```
23
Lattice="5.5183 0.0000 0.0000 0.0000 7.1364 0.0000 -1.4226 0.0000 7.5048" Properties=species:S:1:pos:R:3 pbc="T T T"
Sr 0.0000 0.0000 0.0000
Sr -0.1115 3.5682 5.2298
Li 1.7071 0.0000 5.8459
V -0.0817 3.5682 0.9335
V -0.2830 0.0000 4.0203
Si 2.7036 1.6354 0.8811
Si 2.7036 5.5010 0.8811
Si 2.5783 1.9454 4.0869
Si 2.5783 5.1910 4.0869
O -0.0733 3.5682 2.5797
O 0.0141 0.0000 2.2735
O 1.3299 2.2375 0.2212
O 1.3299 4.8988 0.2212
O 1.1774 1.3952 4.7135
O 1.1774 5.7412 4.7135
O 2.7169 0.0000 0.3244
O 2.6695 1.6920 2.4889
O 2.6695 5.4443 2.4889
O 2.5629 3.5682 4.4065
O 4.1159 2.1995 0.3105
O 4.1159 4.9368 0.3105
O 3.9021 1.3766 4.8439
O 3.9021 5.7598 4.8439
```

Largest 10 diffraction maxima, sorted by position, 2θ from 15° to 90°:
| 2theta | d (Å) | intensity |
| --- | --- | --- |
| 23.71 | 3.752 | 63 |
| 26.84 | 3.321 | 28 |
| 29.12 | 3.066 | 27 |
| 29.98 | 2.981 | 100 |
| 33.02 | 2.713 | 34 |
| 33.90 | 2.645 | 16 |
| 35.39 | 2.537 | 26 |
| 45.13 | 2.009 | 19 |
| 45.25 | 2.004 | 16 |
| 51.20 | 1.784 | 16 |